Computed powder diffractogram
Compound: Sb2Ir9
Radiation: Cu Kα (weighted mean of Kα1 and Kα2)
Structure: a crystal structure in OQMD, relaxed with PBE
Neutral-atom scattering factors, no anomalous dispersion.

Peak list (10 most intense, 2θ from 10° to 90°, low angle first)
38.6°, intensity 25, hkl 1 0 4
39.5°, intensity 100, hkl 1 0 5
42.5°, intensity 13, hkl 0 0 15
45.1°, intensity 29, hkl 0 1 9
46.9°, intensity 41, hkl 0 1 10
66.3°, intensity 23, hkl 1 1 0
67.7°, intensity 16, hkl 1 0 19
80.0°, intensity 26, hkl 0 2 5
82.0°, intensity 12, hkl 1 1 15
82.6°, intensity 10, hkl 0 1 24

Structural model:
```
Sb2Ir9
1.0
2.819 0.000 0.000
-1.410 2.442 0.000
0.000 0.000 31.905
Sb Ir
2 9
Cartesian
0.000 1.628 11.133 Sb
1.410 0.814 20.772 Sb
0.000 0.000 0.000 Ir
0.000 0.000 6.587 Ir
0.000 0.000 25.318 Ir
0.000 1.628 4.403 Ir
0.000 1.628 23.082 Ir
0.000 1.628 29.707 Ir
1.410 0.814 2.198 Ir
1.410 0.814 8.824 Ir
1.410 0.814 27.502 Ir
```